(1)
Starting from a crystal structure in Alexandria, relaxed with PBE, the XRD peak list of K2CoCuCl6 was calculated for Cu Kα.
No peak broadening, texture or thermal motion is included.

Crystal structure
Cell lengths 7.072, 7.072, 7.072 Å; angles 125.29, 125.29, 81.06 degrees
Sites, in units of the cell vectors:
K 0.000 0.500 0.500
K 0.500 0.000 0.500
Co 0.250 0.250 0.000
Cu 0.749 0.749 0.000
Cl 0.037 0.037 0.000
Cl 0.054 0.949 0.502
Cl 0.446 0.551 0.498
Cl 0.463 0.463 0.000
Cl 0.551 0.054 0.105
Cl 0.949 0.446 0.895

Principal peaks in the range 5° ≤ 2θ ≤ 70°, in order of rising 2θ:
2θ (°)	I (rel.)
16.5	59
19.3	54
25.5	83
27.4	58
31.9	37
32.2	42
33.3	93
39.2	100
47.4	58
52.4	67



(2)
Starting from a crystal structure in Alexandria, relaxed with PBE, the XRD peak list of Tb6Pr2Ho3 was calculated for Cu Kα.
No peak broadening, texture or thermal motion is included.

Crystal structure
Cell lengths 6.136, 6.136, 11.758 Å; angles 95.05, 95.05, 120.06 degrees
Sites, in units of the cell vectors:
Tb 0.085 0.418 0.754
Tb 0.249 0.249 0.246
Tb 0.418 0.085 0.754
Tb 0.582 0.915 0.246
Tb 0.751 0.751 0.754
Tb 0.915 0.582 0.246
Pr 0.333 0.667 0.500
Pr 0.667 0.333 0.500
Ho 0.165 0.835 0.000
Ho 0.500 0.500 0.000
Ho 0.835 0.165 0.000

Principal peaks in the range 5° ≤ 2θ ≤ 70°, in order of rising 2θ:
2θ (°)	I (rel.)
7.6	10
15.3	1
16.9	1
17.5	1
30.9	100
35.9	51
51.6	36
61.3	28
61.5	14
64.4	12



What did the second record say?
Starting from a crystal structure in Alexandria, relaxed with PBE, the XRD peak list of Tb6Pr2Ho3 was calculated for Cu Kα.
No peak broadening, texture or thermal motion is included.

Crystal structure
Cell lengths 6.136, 6.136, 11.758 Å; angles 95.05, 95.05, 120.06 degrees
Sites, in units of the cell vectors:
Tb 0.085 0.418 0.754
Tb 0.249 0.249 0.246
Tb 0.418 0.085 0.754
Tb 0.582 0.915 0.246
Tb 0.751 0.751 0.754
Tb 0.915 0.582 0.246
Pr 0.333 0.667 0.500
Pr 0.667 0.333 0.500
Ho 0.165 0.835 0.000
Ho 0.500 0.500 0.000
Ho 0.835 0.165 0.000

Principal peaks in the range 5° ≤ 2θ ≤ 70°, in order of rising 2θ:
2θ (°)	I (rel.)
7.6	10
15.3	1
16.9	1
17.5	1
30.9	100
35.9	51
51.6	36
61.3	28
61.5	14
64.4	12